(1)
The following is a computed XRD peak list of LiBr. It was derived from a cell relaxed with PBE, using a wavelength of 1.5418 Å.

Crystal structure
a = 7.848 Å, b = 7.848 Å, c = 7.848 Å
α = 94.13°, β = 94.13°, γ = 148.85°
Sites, in units of the cell vectors:
1 Li 0.134 0.295 0.429
2 Li 0.295 0.866 0.161
3 Li 0.705 0.134 0.839
4 Li 0.866 0.705 0.571
5 Br 0.101 0.722 0.823
6 Br 0.278 0.101 0.380
7 Br 0.722 0.899 0.620
8 Br 0.899 0.278 0.177

The 6 most intense peaks (15° ≤ 2θ ≤ 90°), sorted by position:
16.6 deg, I 25.2; 26.4 deg, I 70.1; 28.2 deg, I 100.0; 37.6 deg, I 21.0; 47.7 deg, I 42.8; 51.1 deg, I 21.7


(2)
The following is a computed XRD peak list of TmTh4Ge4. It was derived from a cell relaxed with PBE, using a wavelength of 1.5418 Å.

Crystal structure
a = 7.281 Å, b = 7.281 Å, c = 7.281 Å
α = 99.85°, β = 99.85°, γ = 131.14°
Sites, in units of the cell vectors:
1 Tm 0.000 0.000 0.000
2 Th 0.202 0.598 0.800
3 Th 0.402 0.202 0.604
4 Th 0.598 0.798 0.396
5 Th 0.798 0.402 0.200
6 Ge 0.095 0.294 0.390
7 Ge 0.294 0.905 0.199
8 Ge 0.706 0.095 0.801
9 Ge 0.905 0.706 0.610

The 6 most intense peaks (15° ≤ 2θ ≤ 90°), sorted by position:
25.9 deg, I 88.4; 29.7 deg, I 51.4; 30.1 deg, I 100.0; 42.8 deg, I 78.1; 43.2 deg, I 37.5; 53.2 deg, I 40.9


(3)
The following is a computed XRD peak list of Ac3NdTl3. It was derived from a cell relaxed with PBE, using a wavelength of 1.5418 Å.

Crystal structure
a = 8.113 Å, b = 8.113 Å, c = 7.884 Å
α = 90.00°, β = 90.00°, γ = 92.50°
Sites, in units of the cell vectors:
1 Ac 0.204 0.204 0.500
2 Ac 0.232 0.768 0.000
3 Ac 0.260 0.260 0.000
4 Ac 0.740 0.740 0.000
5 Ac 0.768 0.232 0.000
6 Ac 0.796 0.796 0.500
7 Nd 0.274 0.726 0.500
8 Nd 0.726 0.274 0.500
9 Tl 0.000 0.500 0.265
10 Tl 0.000 0.500 0.735
11 Tl 0.500 0.000 0.265
12 Tl 0.500 0.000 0.735
13 Tl 0.500 0.500 0.264
14 Tl 0.500 0.500 0.736

The 6 most intense peaks (15° ≤ 2θ ≤ 90°), sorted by position:
30.5 deg, I 28.0; 31.7 deg, I 100.0; 31.9 deg, I 21.7; 44.7 deg, I 16.1; 55.0 deg, I 18.8; 56.7 deg, I 13.4